Entry 1:
The following is a calculated powder XRD pattern of Li5Cd2Pd2. It was derived from DFT lattice parameters and positions (PBE), using Cu Kα (λ = 1.5418 Å).

Most intense lines, 2θ from 10° to 90°, by intensity:
2θ (°)  Rel. int.
17.0  100
35.3  81
43.3  46
40.5  26
26.9  23
39.5  20

Unit cell a=8.5693 b=8.5693 c=8.5693 alpha=83.02 beta=105.26 gamma=149.13
Sites, in units of the cell vectors:
1 Li 0.1668 0.0409 0.2077
2 Li 0.1668 0.4591 0.6259
3 Li 0.1806 0.2536 0.4269
4 Li 0.3098 0.6513 0.9552
5 Li 0.3098 0.8546 0.1585
6 Li 0.6961 0.1513 0.8415
7 Li 0.6961 0.3546 0.0448
8 Li 0.8267 0.7536 0.5731
9 Li 0.8332 0.5409 0.3741
10 Li 0.8332 0.9591 0.7923
11 Cd 0.4585 0.2533 0.7052
12 Cd 0.5015 0.0015 0.5000
13 Cd 0.5015 0.5015 0.0000
14 Cd 0.5481 0.7533 0.2948
15 Pd 0.0550 0.6420 0.6913
16 Pd 0.0550 0.8638 0.9130
17 Pd 0.9508 0.1420 0.0870
18 Pd 0.9508 0.3638 0.3087

Entry 2:
The following is a calculated powder XRD pattern of LiCd6Pd12. It was derived from DFT lattice parameters and positions (PBE), using Cu Kα (λ = 1.5418 Å).

Most intense lines, 2θ from 10° to 90°, by intensity:
2θ (°)  Rel. int.
38.7  100
41.1  58
42.1  43
39.4  33
40.8  31
29.6  23

Unit cell a=6.8705 b=6.8705 c=6.8705 alpha=92.13 beta=92.13 gamma=92.13
Sites, in units of the cell vectors:
1 Li 0.0000 0.0000 0.0000
2 Cd 0.1212 0.7370 0.2869
3 Cd 0.2630 0.7131 0.8788
4 Cd 0.2869 0.1212 0.7370
5 Cd 0.7131 0.8788 0.2630
6 Cd 0.7370 0.2869 0.1212
7 Cd 0.8788 0.2630 0.7131
8 Pd 0.0392 0.1362 0.3595
9 Pd 0.1362 0.3595 0.0392
10 Pd 0.2068 0.4599 0.5445
11 Pd 0.3595 0.0392 0.1362
12 Pd 0.4555 0.7932 0.5401
13 Pd 0.4599 0.5445 0.2068
14 Pd 0.5401 0.4555 0.7932
15 Pd 0.5445 0.2068 0.4599
16 Pd 0.6405 0.9608 0.8638
17 Pd 0.7932 0.5401 0.4555
18 Pd 0.8638 0.6405 0.9608
19 Pd 0.9608 0.8638 0.6405

Entry 3:
The following is a calculated powder XRD pattern of Li2Cd3Pd4. It was derived from DFT lattice parameters and positions (PBE), using Cu Kα (λ = 1.5418 Å).

Most intense lines, 2θ from 10° to 90°, by intensity:
2θ (°)  Rel. int.
41.8  100
40.3  97
39.8  61
39.7  56
26.7  52
17.0  30

Unit cell a=7.9395 b=7.9395 c=5.1431 alpha=100.38 beta=100.38 gamma=82.38
Sites, in units of the cell vectors:
1 Li 0.0084 0.6482 0.9347
2 Li 0.3518 0.9916 0.5653
3 Li 0.6482 0.0084 0.4347
4 Li 0.9916 0.3518 0.0653
5 Cd 0.0440 0.9560 0.7500
6 Cd 0.1962 0.5923 0.4957
7 Cd 0.4077 0.8038 0.0043
8 Cd 0.5923 0.1962 0.9957
9 Cd 0.8038 0.4077 0.5043
10 Cd 0.9560 0.0440 0.2500
11 Pd 0.1426 0.2718 0.6178
12 Pd 0.2718 0.1426 0.1178
13 Pd 0.3300 0.4729 0.0252
14 Pd 0.4729 0.3300 0.5252
15 Pd 0.5271 0.6700 0.4748
16 Pd 0.6700 0.5271 0.9748
17 Pd 0.7282 0.8574 0.8822
18 Pd 0.8574 0.7282 0.3822

Entry 4:
The following is a calculated powder XRD pattern of Li9Cd4Pd11. It was derived from DFT lattice parameters and positions (PBE), using Cu Kα (λ = 1.5418 Å).

Most intense lines, 2θ from 10° to 90°, by intensity:
2θ (°)  Rel. int.
24.9  100
42.2  97
40.7  77
41.6  65
39.7  56
36.7  51

Unit cell a=11.4450 b=11.4450 c=2.9623 alpha=90.00 beta=90.00 gamma=108.40
Sites, in units of the cell vectors:
1 Li 0.0000 0.0000 0.0000
2 Li 0.1156 0.6553 0.0000
3 Li 0.3031 0.4911 0.0000
4 Li 0.3447 0.8844 0.0000
5 Li 0.4911 0.3031 0.0000
6 Li 0.5089 0.6969 0.0000
7 Li 0.6553 0.1156 0.0000
8 Li 0.6969 0.5089 0.0000
9 Li 0.8844 0.3447 0.0000
10 Cd 0.0782 0.2507 0.0000
11 Cd 0.2507 0.0782 0.0000
12 Cd 0.7493 0.9218 0.0000
13 Cd 0.9218 0.7493 0.0000
14 Pd 0.1039 0.4628 0.5000
15 Pd 0.1357 0.8643 0.5000
16 Pd 0.2940 0.2940 0.5000
17 Pd 0.3137 0.6863 0.5000
18 Pd 0.4628 0.1039 0.5000
19 Pd 0.5000 0.5000 0.5000
20 Pd 0.5372 0.8961 0.5000
21 Pd 0.6863 0.3137 0.5000
22 Pd 0.7060 0.7060 0.5000
23 Pd 0.8643 0.1357 0.5000
24 Pd 0.8961 0.5372 0.5000

Entry 5:
The following is a calculated powder XRD pattern of LiCdPdPt. It was derived from DFT lattice parameters and positions (PBE), using Cu Kα (λ = 1.5418 Å).

Most intense lines, 2θ from 10° to 90°, by intensity:
2θ (°)  Rel. int.
39.1  100
24.8  35
44.7  34
78.5  26
66.8  20
23.0  18

Unit cell a=4.0585 b=4.0585 c=7.7338 alpha=90.00 beta=90.00 gamma=90.00
Sites, in units of the cell vectors:
1 Li 0.0000 0.0000 0.0000
2 Li 0.5000 0.5000 0.5000
3 Cd 0.0000 0.0000 0.5000
4 Cd 0.5000 0.5000 0.0000
5 Pd 0.0000 0.5000 0.7500
6 Pd 0.5000 0.0000 0.2500
7 Pt 0.0000 0.5000 0.2500
8 Pt 0.5000 0.0000 0.7500

Entry 6:
The following is a calculated powder XRD pattern of Li5Cd2Pd2Rh. It was derived from DFT lattice parameters and positions (PBE), using Cu Kα (λ = 1.5418 Å).

Most intense lines, 2θ from 10° to 90°, by intensity:
2θ (°)  Rel. int.
23.0  100
39.0  71
31.1  56
42.8  26
57.4  19
35.5  18

Unit cell a=9.1063 b=9.1063 c=3.8685 alpha=90.00 beta=90.00 gamma=90.00
Sites, in units of the cell vectors:
1 Li 0.0000 0.5000 0.0000
2 Li 0.0640 0.1930 0.0000
3 Li 0.1930 0.9360 0.0000
4 Li 0.3070 0.4360 0.0000
5 Li 0.4360 0.6930 0.0000
6 Li 0.5000 0.0000 0.0000
7 Li 0.5640 0.3070 0.0000
8 Li 0.6930 0.5640 0.0000
9 Li 0.8070 0.0640 0.0000
10 Li 0.9360 0.8070 0.0000
11 Cd 0.1772 0.6772 0.5000
12 Cd 0.3228 0.1772 0.5000
13 Cd 0.6772 0.8228 0.5000
14 Cd 0.8228 0.3228 0.5000
15 Pd 0.1177 0.3823 0.5000
16 Pd 0.3823 0.8823 0.5000
17 Pd 0.6177 0.1177 0.5000
18 Pd 0.8823 0.6177 0.5000
19 Rh 0.0000 0.0000 0.5000
20 Rh 0.5000 0.5000 0.5000

Entry 7:
The following is a calculated powder XRD pattern of Li2Sm2CdPd5. It was derived from DFT lattice parameters and positions (PBE), using Cu Kα (λ = 1.5418 Å).

Most intense lines, 2θ from 10° to 90°, by intensity:
2θ (°)  Rel. int.
37.8  100
31.4  77
38.6  66
35.4  40
63.0  31
41.3  29

Unit cell a=9.6208 b=9.6208 c=3.8099 alpha=90.00 beta=90.00 gamma=90.00
Sites, in units of the cell vectors:
1 Li 0.1179 0.3821 0.0000
2 Li 0.3821 0.8821 0.0000
3 Li 0.6179 0.1179 0.0000
4 Li 0.8821 0.6179 0.0000
5 Sm 0.1802 0.6802 0.0000
6 Sm 0.3198 0.1802 0.0000
7 Sm 0.6802 0.8198 0.0000
8 Sm 0.8198 0.3198 0.0000
9 Cd 0.0000 0.0000 0.0000
10 Cd 0.5000 0.5000 0.0000
11 Pd 0.0000 0.5000 0.5000
12 Pd 0.0678 0.2110 0.5000
13 Pd 0.2110 0.9322 0.5000
14 Pd 0.2890 0.4322 0.5000
15 Pd 0.4322 0.7110 0.5000
16 Pd 0.5000 0.0000 0.5000
17 Pd 0.5678 0.2890 0.5000
18 Pd 0.7110 0.5678 0.5000
19 Pd 0.7890 0.0678 0.5000
20 Pd 0.9322 0.7890 0.5000

Entry 8:
The following is a calculated powder XRD pattern of Sr2Li12Cd3Pd. It was derived from DFT lattice parameters and positions (PBE), using Cu Kα (λ = 1.5418 Å).

Most intense lines, 2θ from 10° to 90°, by intensity:
2θ (°)  Rel. int.
27.0  100
17.5  98
30.1  40
38.0  34
37.0  33
29.7  29

Unit cell a=10.9272 b=10.9272 c=10.9272 alpha=37.31 beta=37.31 gamma=37.31
Sites, in units of the cell vectors:
1 Sr 0.1525 0.1525 0.1525
2 Sr 0.8475 0.8475 0.8475
3 Li 0.0836 0.0836 0.6893
4 Li 0.0836 0.6893 0.0836
5 Li 0.1618 0.5663 0.5663
6 Li 0.3107 0.9164 0.9164
7 Li 0.4337 0.4337 0.8382
8 Li 0.4337 0.8382 0.4337
9 Li 0.5663 0.1618 0.5663
10 Li 0.5663 0.5663 0.1618
11 Li 0.6893 0.0836 0.0836
12 Li 0.8382 0.4337 0.4337
13 Li 0.9164 0.3107 0.9164
14 Li 0.9164 0.9164 0.3107
15 Cd 0.0000 0.5000 0.5000
16 Cd 0.5000 0.0000 0.5000
17 Cd 0.5000 0.5000 0.0000
18 Pd 0.5000 0.5000 0.5000